For HoTm5Sc5, the PBE geometry in Alexandria gives the calculated powder XRD pattern in this record (λ = 1.5418 Å (Cu Kα)).
Peak positions follow from Bragg's law for the DFT cell and can differ from measured ones.

Crystal structure
a b c (Å): 5.748 5.748 11.129
angles (deg): 90.00 90.00 120.00
Positions (direct):
Ho (0.000, 0.000, 0.000)
Tm (0.000, 0.000, 0.319)
Tm (0.000, 0.000, 0.681)
Tm (0.333, 0.667, 0.161)
Tm (0.333, 0.667, 0.839)
Tm (0.667, 0.333, 0.000)
Sc (0.502, 0.003, 0.500)
Sc (0.502, 0.498, 0.500)
Sc (0.667, 0.333, 0.268)
Sc (0.667, 0.333, 0.732)
Sc (0.997, 0.498, 0.500)

Largest 10 diffraction maxima, sorted by position, 2θ from 10° to 90°:
d/Å  I/Imax  (hkl)
2.975  100  1 0 3
2.874  88  1 1 0
2.783  26  1 1 1
2.429  24  1 0 4
2.272  17  1 1 3
2.067  25  2 0 3
1.855  18  0 0 6
1.678  38  2 1 3
1.659  21  3 0 0
1.559  26  1 1 6